Record 1
For Cs2PaTe4, a structure optimized by DFT (PBE) gives the calculated X-ray diffraction stick pattern in this record (λ = 1.5418 Å (Cu Kα)).
Lines closer than 0.1° are merged.

Most intense lines, 2θ = 10–90°, by angle:
10.64°, rel. 1000; 19.89°, rel. 340; 21.81°, rel. 556; 28.71°, rel. 784; 29.89°, rel. 241; 32.48°, rel. 213; 33.69°, rel. 260; 36.72°, rel. 251; 38.53°, rel. 230; 42.99°, rel. 265

Crystal structure
Cell: 8.986 4.673 9.050 Å, 90.00 113.02 90.00°
Atoms (fractional coordinates):
Cs: 0.182 0.000 0.301
Cs: 0.818 0.000 0.699
Pa: 0.500 0.500 0.000
Te: 0.154 0.500 0.941
Te: 0.424 0.000 0.764
Te: 0.576 0.000 0.236
Te: 0.846 0.500 0.059



Record 2
For KLaSeO6, a structure optimized by DFT (PBE) gives the calculated X-ray diffraction stick pattern in this record (λ = 1.5418 Å (Cu Kα)).
Lines closer than 0.1° are merged.

Most intense lines, 2θ = 10–90°, by angle:
17.48°, rel. 348; 17.80°, rel. 442; 25.48°, rel. 941; 25.64°, rel. 1000; 25.77°, rel. 989; 30.71°, rel. 705; 31.27°, rel. 362; 40.17°, rel. 322; 48.98°, rel. 374; 49.13°, rel. 267

Crystal structure
Cell: 4.823 5.721 5.822 Å, 60.61 89.87 89.67°
Atoms (fractional coordinates):
K: 0.000 0.000 0.000
La: 0.499 0.671 0.657
Se: 0.998 0.326 0.348
O: 0.204 0.556 0.059
O: 0.212 0.049 0.382
O: 0.220 0.373 0.569
O: 0.776 0.059 0.569
O: 0.783 0.571 0.380
O: 0.792 0.384 0.059



Record 3
For Tb8SmAl6, a structure optimized by DFT (PBE) gives the calculated X-ray diffraction stick pattern in this record (λ = 1.5418 Å (Cu Kα)).
Lines closer than 0.1° are merged.

Most intense lines, 2θ = 10–90°, by angle:
24.84°, rel. 1000; 35.20°, rel. 648; 35.63°, rel. 625; 43.92°, rel. 222; 50.95°, rel. 226; 57.19°, rel. 192; 57.79°, rel. 199; 62.87°, rel. 113; 63.72°, rel. 231; 64.00°, rel. 114

Crystal structure
Cell: 8.055 8.055 8.055 Å, 65.61 65.61 65.61°
Atoms (fractional coordinates):
Tb: 0.049 0.384 0.718
Tb: 0.167 0.167 0.167
Tb: 0.282 0.951 0.616
Tb: 0.384 0.718 0.049
Tb: 0.616 0.282 0.951
Tb: 0.718 0.049 0.384
Tb: 0.833 0.833 0.833
Tb: 0.951 0.616 0.282
Sm: 0.500 0.500 0.500
Al: 0.112 0.783 0.447
Al: 0.217 0.553 0.888
Al: 0.447 0.112 0.783
Al: 0.553 0.888 0.217
Al: 0.783 0.447 0.112
Al: 0.888 0.217 0.553